Record 1
# TbY2ScTl2
Calculated powder diffraction line list, Cu Kα (weighted mean of Kα1 and Kα2). Input: a DFT-relaxed cell (GGA-PBE, Alexandria).
Peak positions follow from Bragg's law for the DFT cell and can differ from measured ones.

abc: 4.9439 9.7718 6.9417
angles: 90.00 90.00 90.00
Space group Pmc2_1 (No. 26)
Asymmetric unit:
Tb1 0.0000 0.0503 0.0000 x2
Y1 0.0000 0.3089 0.3934 x2
Y2 0.5000 0.4492 0.1022 x2
Sc1 0.5000 0.1957 0.7106 x2
Tl1 0.0000 0.3648 0.8401 x2
Tl2 0.5000 0.1176 0.2743 x2

Largest 12 diffraction maxima, in order of rising 2θ, 10 to 80 degrees two-theta:
| d [Å] | 2theta | Rel. int. | index |
| --- | --- | --- | --- |
| 3.995 | 22.2 | 25.5 | 0 2 1 |
| 3.723 | 23.9 | 22.6 | 1 1 1 |
| 2.949 | 30.3 | 13.4 | 0 3 1 |
| 2.841 | 31.5 | 29.0 | 1 0 2 |
| 2.725 | 32.9 | 100.0 | 1 3 0 |
| 2.533 | 35.4 | 33.5 | 1 3 1 |
| 2.472 | 36.3 | 31.9 | 2 0 0 |
| 2.102 | 43.0 | 9.7 | 2 2 1 |
| 2.091 | 43.3 | 17.2 | 0 2 3 |
| 1.597 | 57.7 | 11.5 | 2 2 3 |
| 1.553 | 59.5 | 12.2 | 2 4 2 |
| 1.471 | 63.2 | 15.2 | 3 3 0 |

***

Record 2
# Tb4TmSc7
Calculated powder diffraction line list, Cu Kα (weighted mean of Kα1 and Kα2). Input: a DFT-relaxed cell (GGA-PBE, Alexandria).
Peak positions follow from Bragg's law for the DFT cell and can differ from measured ones.

abc: 11.3161 5.5262 11.9730
angles: 90.00 114.41 90.00
Space group C2/m (No. 12)
Asymmetric unit:
Tb1 0.0974 0.0000 0.2939 x4
Tb2 0.1267 0.5000 0.7743 x4
Tm1 0.0000 0.5000 0.0000 x2
Sc1 0.0000 0.0000 0.0000 x2
Sc2 0.1307 0.5000 0.4846 x4
Sc3 0.1495 0.0000 0.6179 x4
Sc4 0.2076 0.0000 0.9147 x4

Largest 12 diffraction maxima, in order of rising 2θ, 10 to 80 degrees two-theta:
| d [Å] | 2theta | Rel. int. | index |
| --- | --- | --- | --- |
| 4.155 | 21.4 | 100.0 | 1 1 1 |
| 4.050 | 21.9 | 28.3 | 2 0 1 |
| 3.103 | 28.8 | 31.8 | 3 1 -1 |
| 2.969 | 30.1 | 47.7 | 2 0 -4 |
| 2.806 | 31.9 | 99.1 | 3 1 -3 |
| 2.777 | 32.2 | 38.5 | 4 0 -1 |
| 2.763 | 32.4 | 97.7 | 0 2 0 |
| 2.673 | 33.5 | 80.6 | 1 1 3 |
| 2.601 | 34.5 | 67.7 | 3 1 1 |
| 2.469 | 36.4 | 27.5 | 3 1 -4 |
| 2.023 | 44.8 | 32.0 | 2 2 -4 |
| 1.959 | 46.4 | 27.0 | 4 2 -1 |

***

Record 3
# Tb3Tm4Sc
Calculated powder diffraction line list, Cu Kα (weighted mean of Kα1 and Kα2). Input: a DFT-relaxed cell (GGA-PBE, Alexandria).
Peak positions follow from Bragg's law for the DFT cell and can differ from measured ones.

abc: 3.4394 8.6275 8.6291
angles: 82.32 78.99 78.84
Space group P-1 (No. 2)
Asymmetric unit:
Tb1 0.0000 0.0000 0.0000 x1
Tb2 0.2410 0.2599 0.2598 x2
Tm1 0.3592 0.3914 0.8767 x2
Tm2 0.3605 0.8766 0.3916 x2
Sc1 0.5000 0.5000 0.5000 x1

Largest 12 diffraction maxima, in order of rising 2θ, 10 to 80 degrees two-theta:
| d [Å] | 2theta | Rel. int. | index |
| --- | --- | --- | --- |
| 2.927 | 30.5 | 23.0 | 1 0 -1 |
| 2.904 | 30.8 | 22.7 | 1 2 1 |
| 2.870 | 31.2 | 25.8 | 1 -1 1 |
| 2.859 | 31.3 | 29.5 | 1 2 0 |
| 2.839 | 31.5 | 56.4 | 0 2 -2 |
| 2.748 | 32.6 | 100.0 | 0 3 1 |
| 2.670 | 33.6 | 13.2 | -1 1 1 |
| 2.416 | 37.2 | 13.3 | 1 0 -2 |
| 2.365 | 38.0 | 13.7 | 1 1 -2 |
| 1.621 | 56.8 | 23.7 | 0 5 -1 |
| 1.463 | 63.6 | 14.4 | 2 0 -2 |
| 1.452 | 64.1 | 14.5 | 2 4 2 |

***

Record 4
# Tb5TmSc2
Calculated powder diffraction line list, Cu Kα (weighted mean of Kα1 and Kα2). Input: a DFT-relaxed cell (GGA-PBE, Alexandria).
Peak positions follow from Bragg's law for the DFT cell and can differ from measured ones.

abc: 7.0992 11.0580 12.2740
angles: 90.00 90.00 90.00
Space group Fmm2 (No. 42)
Asymmetric unit:
Tb1 0.0000 0.0000 0.0000 x4
Tb2 0.2496 0.0000 0.2454 x8
Tb3 0.2500 0.2500 0.4154 x8
Tm1 0.0000 0.0000 0.4991 x4
Sc1 0.0000 0.2493 0.6628 x8

Largest 12 diffraction maxima, in order of rising 2θ, 10 to 80 degrees two-theta:
| d [Å] | 2theta | Rel. int. | index |
| --- | --- | --- | --- |
| 6.137 | 14.4 | 6.7 | 0 0 2 |
| 5.529 | 16.0 | 6.3 | 0 2 0 |
| 4.108 | 21.6 | 6.4 | 0 2 2 |
| 3.071 | 29.1 | 27.1 | 0 0 4 |
| 2.764 | 32.4 | 23.7 | 0 4 0 |
| 2.685 | 33.4 | 100.0 | 2 2 2 |
| 2.055 | 44.1 | 17.5 | 0 4 4 |
| 1.775 | 51.5 | 8.1 | 4 0 0 |
| 1.772 | 51.6 | 12.7 | 2 0 6 |
| 1.580 | 58.4 | 20.0 | 2 6 2 |
| 1.493 | 62.2 | 21.6 | 4 4 0 |
| 1.480 | 62.8 | 16.0 | 0 2 8 |

***

Record 5
# TbTmSc
Calculated powder diffraction line list, Cu Kα (weighted mean of Kα1 and Kα2). Input: a DFT-relaxed cell (GGA-PBE, Alexandria).
Peak positions follow from Bragg's law for the DFT cell and can differ from measured ones.

abc: 3.3577 3.3770 15.5895
angles: 90.00 90.00 90.00
Space group Pmmn (No. 59, origin choice 2)
Asymmetric unit:
Tb1 0.2500 0.2500 0.0818 x2
Tm1 0.2500 0.7500 0.2765 x2
Sc1 0.2500 0.7500 0.5727 x2

Largest 12 diffraction maxima, in order of rising 2θ, 10 to 80 degrees two-theta:
| d [Å] | 2theta | Rel. int. | index |
| --- | --- | --- | --- |
| 3.282 | 27.2 | 59.9 | 1 0 1 |
| 3.118 | 28.6 | 27.1 | 0 0 5 |
| 3.099 | 28.8 | 24.5 | 0 1 2 |
| 2.832 | 31.6 | 100.0 | 0 1 3 |
| 2.598 | 34.5 | 27.2 | 0 0 6 |
| 2.544 | 35.3 | 50.1 | 1 0 4 |
| 2.354 | 38.2 | 41.2 | 1 1 1 |
| 2.277 | 39.6 | 40.6 | 1 1 2 |
| 2.032 | 44.6 | 24.2 | 1 1 4 |
| 1.688 | 54.3 | 25.3 | 0 2 0 |
| 1.626 | 56.6 | 36.0 | 1 1 7 |
| 1.444 | 64.5 | 25.3 | 2 1 3 |

***

Record 6
# Tb5Tm2Sc
Calculated powder diffraction line list, Cu Kα (weighted mean of Kα1 and Kα2). Input: a DFT-relaxed cell (GGA-PBE, Alexandria).
Peak positions follow from Bragg's law for the DFT cell and can differ from measured ones.

abc: 7.1474 11.1554 12.3948
angles: 90.00 90.00 90.00
Space group Fmm2 (No. 42)
Asymmetric unit:
Tb1 0.0000 0.0000 0.0000 x4
Tb2 0.2475 0.0000 0.2475 x8
Tb3 0.2500 0.2500 0.4161 x8
Tm1 0.0000 0.2457 0.6634 x8
Sc1 0.0000 0.0000 0.4987 x4

Largest 12 diffraction maxima, in order of rising 2θ, 10 to 80 degrees two-theta:
| d [Å] | 2theta | Rel. int. | index |
| --- | --- | --- | --- |
| 5.414 | 16.4 | 4.0 | 1 1 1 |
| 3.097 | 28.8 | 24.7 | 2 0 2 |
| 2.789 | 32.1 | 23.9 | 0 4 0 |
| 2.707 | 33.1 | 100.0 | 0 2 4 |
| 2.072 | 43.7 | 16.0 | 2 4 2 |
| 1.788 | 51.1 | 19.5 | 4 0 0 |
| 1.594 | 57.8 | 20.1 | 0 6 4 |
| 1.548 | 59.7 | 3.2 | 0 0 8 |
| 1.505 | 61.6 | 22.1 | 4 4 0 |
| 1.492 | 62.2 | 16.2 | 4 2 4 |
| 1.354 | 69.4 | 4.0 | 0 4 8 |
| 1.271 | 74.6 | 3.3 | 2 8 2 |

***

Record 7
# TbTm3Sc4
Calculated powder diffraction line list, Cu Kα (weighted mean of Kα1 and Kα2). Input: a DFT-relaxed cell (GGA-PBE, Alexandria).
Peak positions follow from Bragg's law for the DFT cell and can differ from measured ones.

abc: 3.7222 5.4305 10.8510
angles: 90.00 90.00 90.00
Space group Pmmm (No. 47)
Asymmetric unit:
Tb1 0.0000 0.0000 0.0000 x1
Tm1 0.0000 0.0000 0.5000 x1
Tm2 0.0000 0.5000 0.2510 x2
Sc1 0.5000 0.0000 0.2525 x2
Sc2 0.5000 0.5000 0.0000 x1
Sc3 0.5000 0.5000 0.5000 x1

Largest 12 diffraction maxima, in order of rising 2θ, 10 to 80 degrees two-theta:
| d [Å] | 2theta | Rel. int. | index |
| --- | --- | --- | --- |
| 3.838 | 23.2 | 40.7 | 0 1 2 |
| 3.722 | 23.9 | 18.9 | 1 0 0 |
| 2.714 | 33.0 | 52.2 | 0 2 0 |
| 2.672 | 33.5 | 100.0 | 1 1 2 |
| 2.193 | 41.2 | 19.1 | 1 2 0 |
| 1.919 | 47.4 | 18.8 | 0 2 4 |
| 1.716 | 53.4 | 9.3 | 0 3 2 |
| 1.706 | 53.7 | 9.1 | 1 2 4 |
| 1.675 | 54.8 | 8.6 | 2 1 2 |
| 1.559 | 59.3 | 38.0 | 1 3 2 |
| 1.535 | 60.3 | 18.0 | 2 2 0 |
| 1.336 | 70.5 | 11.2 | 2 2 4 |

***

Record 8
# Tb12TmSc2
Calculated powder diffraction line list, Cu Kα (weighted mean of Kα1 and Kα2). Input: a DFT-relaxed cell (GGA-PBE, Alexandria).
Peak positions follow from Bragg's law for the DFT cell and can differ from measured ones.

abc: 3.5903 46.2401 5.6295
angles: 90.00 90.00 90.00
Space group Cmmm (No. 65)
Asymmetric unit:
Tb1 0.0000 0.0332 0.0000 x4
Tb2 0.0000 0.0750 0.5000 x4
Tb3 0.0000 0.1598 0.0000 x4
Tb4 0.0000 0.2108 0.5000 x4
Tb5 0.0000 0.2792 0.0000 x4
Tb6 0.0000 0.4030 0.0000 x4
Tm1 0.0000 0.5000 0.5000 x2
Sc1 0.0000 0.3577 0.5000 x4

Largest 12 diffraction maxima, in order of rising 2θ, 10 to 80 degrees two-theta:
| d [Å] | 2theta | Rel. int. | index |
| --- | --- | --- | --- |
| 2.943 | 30.4 | 22.0 | 1 9 0 |
| 2.890 | 30.9 | 15.9 | 0 16 0 |
| 2.849 | 31.4 | 25.1 | 0 14 1 |
| 2.815 | 31.8 | 48.8 | 0 0 2 |
| 2.752 | 32.5 | 100.0 | 1 7 1 |
| 2.608 | 34.4 | 26.5 | 1 9 1 |
| 2.571 | 34.9 | 25.9 | 0 16 1 |
| 2.034 | 44.5 | 15.5 | 1 9 2 |
| 2.016 | 45.0 | 12.1 | 0 16 2 |
| 1.795 | 50.9 | 13.1 | 2 0 0 |
| 1.613 | 57.1 | 20.1 | 1 7 3 |
| 1.514 | 61.2 | 15.2 | 2 0 2 |

***

Record 9
# Tb8Tm3Sc2
Calculated powder diffraction line list, Cu Kα (weighted mean of Kα1 and Kα2). Input: a DFT-relaxed cell (GGA-PBE, Alexandria).
Peak positions follow from Bragg's law for the DFT cell and can differ from measured ones.

abc: 19.3971 7.6394 5.5589
angles: 90.00 90.02 90.00
Space group C2/m (No. 12)
Asymmetric unit:
Tb1 0.1108 0.2083 0.0003 x8
Tb2 0.1338 0.5000 0.4999 x4
Tb3 0.1755 0.0000 0.5006 x4
Tm1 0.0000 0.2138 0.5000 x4
Tm2 0.0000 0.5000 0.0000 x2
Sc1 0.2404 0.5000 0.9993 x4

Largest 12 diffraction maxima, in order of rising 2θ, 10 to 80 degrees two-theta:
| d [Å] | 2theta | Rel. int. | index |
| --- | --- | --- | --- |
| 3.554 | 25.1 | 14.9 | 2 2 0 |
| 3.148 | 28.3 | 14.0 | 0 2 1 |
| 2.994 | 29.8 | 16.6 | 2 2 1 |
| 2.937 | 30.4 | 39.9 | 5 1 1 |
| 2.795 | 32.0 | 25.6 | 6 0 -1 |
| 2.779 | 32.2 | 45.8 | 0 0 2 |
| 2.641 | 34.0 | 100.0 | 4 2 -1 |
| 2.525 | 35.6 | 12.9 | 1 3 0 |
| 1.645 | 55.9 | 13.1 | 9 3 0 |
| 1.577 | 58.5 | 25.4 | 4 2 -3 |
| 1.416 | 66.0 | 13.5 | 9 3 2 |
| 1.377 | 68.1 | 13.3 | 5 5 1 |

***

Record 10
# Tb4Tm6Sc
Calculated powder diffraction line list, Cu Kα (weighted mean of Kα1 and Kα2). Input: a DFT-relaxed cell (GGA-PBE, Alexandria).
Peak positions follow from Bragg's law for the DFT cell and can differ from measured ones.

abc: 5.5246 9.5393 25.3772
angles: 90.00 90.00 90.00
Space group Cmcm (No. 63)
Asymmetric unit:
Tb1 0.0000 0.0034 0.1220 x8
Tb2 0.0000 0.3344 0.0438 x8
Tm1 0.0000 0.0000 0.0000 x4
Tm2 0.0000 0.0029 0.2500 x4
Tm3 0.0000 0.3305 0.6078 x8
Tm4 0.0000 0.3363 0.1832 x8
Sc1 0.0000 0.3305 0.7500 x4

Largest 12 diffraction maxima, in order of rising 2θ, 10 to 80 degrees two-theta:
| d [Å] | 2theta | Rel. int. | index |
| --- | --- | --- | --- |
| 2.888 | 31.0 | 60.6 | 0 2 7 |
| 2.758 | 32.5 | 100.0 | 2 0 0 |
| 2.643 | 33.9 | 37.6 | 1 1 8 |
| 1.995 | 45.5 | 21.1 | 2 2 7 |
| 1.908 | 47.7 | 14.6 | 0 4 8 |
| 1.617 | 56.9 | 13.7 | 3 1 7 |
| 1.615 | 57.0 | 7.9 | 1 5 7 |
| 1.594 | 57.9 | 14.0 | 3 3 0 |
| 1.570 | 58.8 | 11.1 | 2 4 8 |
| 1.515 | 61.2 | 11.7 | 2 0 14 |
| 1.378 | 68.0 | 7.9 | 2 6 0 |
| 1.245 | 76.5 | 6.5 | 3 5 7 |

***

Record 11
# Tb3Tm4Sc2
Calculated powder diffraction line list, Cu Kα (weighted mean of Kα1 and Kα2). Input: a DFT-relaxed cell (GGA-PBE, Alexandria).
Peak positions follow from Bragg's law for the DFT cell and can differ from measured ones.

abc: 13.4860 13.1875 6.3051
angles: 90.00 106.95 90.00
Space group C2/c (No. 15)
Asymmetric unit:
Tb1 0.0000 0.0405 0.2500 x4
Tb2 0.1000 0.4275 0.9788 x8
Tm1 0.1226 0.2951 0.4962 x8
Tm2 0.1347 0.1816 0.9929 x8
Sc1 0.2059 0.0476 0.6282 x8

Largest 12 diffraction maxima, in order of rising 2θ, 10 to 80 degrees two-theta:
| d [Å] | 2theta | Rel. int. | index |
| --- | --- | --- | --- |
| 3.225 | 27.7 | 28.6 | 4 0 0 |
| 3.016 | 29.6 | 32.7 | 0 0 2 |
| 2.897 | 30.9 | 23.4 | 4 2 0 |
| 2.789 | 32.1 | 100.0 | 2 4 -1 |
| 2.742 | 32.7 | 15.0 | 0 2 2 |
| 2.705 | 33.1 | 15.4 | 1 1 2 |
| 2.616 | 34.3 | 45.5 | 4 0 -2 |
| 2.533 | 35.4 | 36.6 | 3 3 1 |
| 2.512 | 35.7 | 32.4 | 2 4 1 |
| 1.772 | 51.6 | 13.2 | 2 4 -3 |
| 1.565 | 59.0 | 12.9 | 2 4 3 |
| 1.542 | 60.0 | 15.9 | 6 4 -3 |

***

Record 12
# Tb4Tm7Sc
Calculated powder diffraction line list, Cu Kα (weighted mean of Kα1 and Kα2). Input: a DFT-relaxed cell (GGA-PBE, Alexandria).
Peak positions follow from Bragg's law for the DFT cell and can differ from measured ones.

abc: 11.2613 5.2507 12.8662
angles: 90.00 104.42 90.00
Space group C2/m (No. 12)
Asymmetric unit:
Tb1 0.0411 0.0000 0.2841 x4
Tb2 0.1739 0.5000 0.7644 x4
Tm1 0.0000 0.5000 0.5000 x2
Tm2 0.0887 0.5000 0.1285 x4
Tm3 0.1397 0.0000 0.9657 x4
Tm4 0.2349 0.5000 0.3980 x4
Sc1 0.0000 0.0000 0.5000 x2

Largest 12 diffraction maxima, in order of rising 2θ, 10 to 80 degrees two-theta:
| d [Å] | 2theta | Rel. int. | index |
| --- | --- | --- | --- |
| 2.967 | 30.1 | 100.0 | 1 1 3 |
| 2.940 | 30.4 | 99.4 | 3 1 -2 |
| 2.625 | 34.2 | 44.1 | 0 2 0 |
| 2.535 | 35.4 | 32.2 | 4 0 1 |
| 2.516 | 35.7 | 31.9 | 2 0 -5 |
| 1.824 | 50.0 | 24.2 | 4 2 1 |
| 1.816 | 50.2 | 24.3 | 2 2 -5 |
| 1.774 | 51.5 | 10.0 | 6 0 -4 |
| 1.574 | 58.7 | 14.8 | 1 3 3 |
| 1.570 | 58.8 | 15.6 | 3 3 -2 |
| 1.527 | 60.7 | 10.4 | 7 1 -1 |
| 1.470 | 63.3 | 10.8 | 6 2 -4 |